Record 1
Starting from a cell relaxed with GGA-PBE, the X-ray diffraction stick pattern of BSe2S was calculated for a wavelength of 1.5418 Å.
Intensities are scaled so that the largest is 100.

The 10 most intense peaks (10 to 90 degrees two-theta), by angle:
hkl, 2θ (°), Rel. int.
2 0 0, 29.39, 16
1 1 2, 30.20, 100
2 1 1, 34.79, 49
2 2 0, 42.04, 15
2 1 3, 47.28, 18
3 1 2, 52.64, 14
2 0 4, 54.15, 23
3 2 1, 55.67, 13
3 2 3, 65.10, 14
1 1 6, 72.98, 13

Atomic structure:
Unit cell a=6.078 b=6.078 c=8.160 alpha=90.00 beta=90.00 gamma=90.00
Space group I-42d (No. 122)
Inequivalent atoms, fractional coordinates:
B: 0.000 0.000 0.000 x4
Se: 0.170 0.750 0.125 x8
S: 0.000 0.000 0.500 x4

***

Record 2
Starting from a cell relaxed with GGA-PBE, the X-ray diffraction stick pattern of PmPaPdPt was calculated for a wavelength of 1.5418 Å.
Intensities are scaled so that the largest is 100.

The 10 most intense peaks (10 to 90 degrees two-theta), by angle:
hkl, 2θ (°), Rel. int.
1 1 1, 21.69, 6
2 0 0, 25.09, 1
2 2 0, 35.78, 100
3 1 1, 42.23, 4
4 0 0, 51.50, 18
3 3 1, 56.52, 2
4 2 2, 64.30, 37
4 4 0, 75.82, 12
5 3 1, 79.97, 1
6 2 0, 86.78, 17

Atomic structure:
Unit cell a=7.097 b=7.097 c=7.097 alpha=90.00 beta=90.00 gamma=90.00
Space group F-43m (No. 216)
Inequivalent atoms, fractional coordinates:
Pm: 0.000 0.000 0.000 x4
Pa: 0.000 0.000 0.500 x4
Pd: 0.250 0.250 0.750 x4
Pt: 0.250 0.250 0.250 x4

***

Record 3
Starting from a cell relaxed with GGA-PBE, the X-ray diffraction stick pattern of TaMnRe was calculated for a wavelength of 1.5418 Å.
Intensities are scaled so that the largest is 100.

The 10 most intense peaks (10 to 90 degrees two-theta), by angle:
hkl, 2θ (°), Rel. int.
1 1 -1, 26.11, 10
1 1 1, 35.86, 14
1 1 -2, 37.40, 100
4 0 -2, 39.56, 17
2 0 1, 39.86, 14
3 1 0, 44.64, 23
0 2 0, 44.88, 24
4 0 -3, 45.48, 12
4 2 -2, 61.35, 10
1 3 -2, 77.78, 12

Atomic structure:
Unit cell a=9.156 b=4.039 c=6.405 alpha=90.00 beta=129.72 gamma=90.00
Space group C2/m (No. 12)
Inequivalent atoms, fractional coordinates:
Ta: 0.068 0.000 0.316 x4
Mn: 0.152 0.500 0.678 x4
Re: 0.169 0.500 0.077 x4

***

Record 4
Starting from a cell relaxed with GGA-PBE, the X-ray diffraction stick pattern of K6Fe3Cl14 was calculated for a wavelength of 1.5418 Å.
Intensities are scaled so that the largest is 100.

The 10 most intense peaks (10 to 90 degrees two-theta), by angle:
hkl, 2θ (°), Rel. int.
1 1 0, 15.71, 100
1 0 1, 16.64, 79
0 2 1, 22.97, 78
2 1 1, 27.95, 94
1 0 2, 29.56, 40
3 0 1, 30.86, 87
1 3 0, 33.07, 49
2 0 2, 33.65, 53
3 1 1, 36.04, 52
4 0 1, 39.56, 44

Atomic structure:
Unit cell a=11.2787 b=11.2787 c=6.3547 alpha=90.00 beta=90.00 gamma=120.00
Space group P3 (No. 143)
Inequivalent atoms, fractional coordinates:
K: 0.0224 0.5649 0.0000 x3
K: 0.3042 0.0953 0.5111 x3
Fe: 0.0000 0.0000 0.9382 x1
Fe: 0.3333 0.6667 0.4280 x1
Fe: 0.6667 0.3333 0.2899 x1
Cl: 0.0000 0.0000 0.2907 x1
Cl: 0.0719 0.8604 0.8109 x3
Cl: 0.1987 0.4546 0.3032 x3
Cl: 0.3333 0.6667 0.7810 x1
Cl: 0.4619 0.1996 0.0719 x3
Cl: 0.5312 0.4034 0.5030 x3

***

Record 5
Starting from a cell relaxed with GGA-PBE, the X-ray diffraction stick pattern of Mg4Ti3 was calculated for a wavelength of 1.5418 Å.
Intensities are scaled so that the largest is 100.

The 10 most intense peaks (10 to 90 degrees two-theta), by angle:
hkl, 2θ (°), Rel. int.
1 0 0, 12.74, 12
1 0 1, 22.05, 10
1 2 0, 34.13, 26
0 0 2, 36.31, 27
1 2 1, 38.81, 100
1 2 2, 50.68, 16
4 1 0, 61.09, 15
1 2 3, 66.99, 18
4 1 2, 73.19, 17
2 4 1, 74.78, 12

Atomic structure:
Unit cell a=8.0262 b=8.0262 c=4.9482 alpha=90.00 beta=90.00 gamma=120.00
Space group P6_3/m (No. 176)
Inequivalent atoms, fractional coordinates:
Mg: 0.0547 0.8051 0.2500 x6
Mg: 0.3333 0.6667 0.2500 x2
Ti: 0.1098 0.6221 0.7500 x6

***

Record 6
Starting from a cell relaxed with GGA-PBE, the X-ray diffraction stick pattern of Y2Zr was calculated for a wavelength of 1.5418 Å.
Intensities are scaled so that the largest is 100.

The 10 most intense peaks (10 to 90 degrees two-theta), by angle:
hkl, 2θ (°), Rel. int.
2 0 2, 29.54, 12
1 1 1, 29.65, 24
4 0 -2, 32.51, 37
0 0 3, 33.82, 49
1 1 -2, 33.92, 100
3 1 -3, 44.57, 15
3 1 3, 52.48, 18
7 1 -2, 58.85, 14
5 1 -4, 58.92, 14
0 2 3, 64.09, 15

Atomic structure:
Unit cell a=12.578 b=3.474 c=8.173 alpha=90.00 beta=103.53 gamma=90.00
Space group Cm (No. 8)
Inequivalent atoms, fractional coordinates:
Y: 0.000 0.000 0.000 x2
Y: 0.051 0.000 0.608 x2
Y: 0.167 0.500 0.323 x2
Y: 0.325 0.000 0.667 x2
Zr: 0.229 0.500 0.954 x2
Zr: 0.378 0.000 0.260 x2